1.
Diffraction record for CaCl2. The powder diffraction line list is computed, not measured: it uses DFT lattice parameters and positions (GGA-PBE) and λ = 1.5418 Å (Cu Kα).
Neutral-atom scattering factors, no anomalous dispersion.

Structure:
```
6
Lattice="6.439 0.000 0.000 0.000 6.439 0.000 0.000 0.000 4.223" Properties=species:S:1:pos:R:3 pbc="T T T"
Ca 0.000 0.000 0.000
Ca 3.220 3.220 2.112
Cl 1.260 1.260 2.112
Cl 1.960 4.479 0.000
Cl 4.479 1.960 0.000
Cl 5.179 5.179 2.112
```

Principal peaks in the range 2θ from 15° to 90°, sorted by position:
2theta  d/Å  I_rel
19.5  4.553  85
28.8  3.096  100
31.1  2.880  36
37.8  2.379  81
39.6  2.277  34
42.8  2.112  24
47.5  1.914  69
59.7  1.548  18
77.5  1.232  17
84.1  1.150  17

---

2.
Diffraction record for Mg14GaBi. The powder diffraction line list is computed, not measured: it uses DFT lattice parameters and positions (GGA-PBE) and λ = 1.5418 Å (Cu Kα).
Neutral-atom scattering factors, no anomalous dispersion.

Structure:
```
16
Lattice="10.298 0.000 0.000 0.000 3.288 5.469 0.000 -3.288 5.469" Properties=species:S:1:pos:R:3 pbc="T T T"
Mg 0.000 0.000 10.937
Mg 0.000 -1.644 2.740
Mg 0.000 1.644 2.740
Mg 0.000 0.000 5.469
Mg 2.543 0.000 1.845
Mg 2.571 -1.611 4.566
Mg 2.571 1.611 4.566
Mg 2.592 0.000 7.283
Mg 5.149 -1.641 8.200
Mg 5.149 1.641 8.200
Mg 7.706 0.000 7.283
Mg 7.727 -1.611 4.566
Mg 7.727 1.611 4.566
Mg 7.755 0.000 1.845
Ga 5.149 0.000 5.489
Bi 5.149 0.000 0.016
```

Principal peaks in the range 2θ from 15° to 90°, sorted by position:
2theta  d/Å  I_rel
16.2  5.469  28
17.2  5.149  25
17.9  4.944  30
18.4  4.830  43
23.7  3.749  24
31.8  2.818  32
33.0  2.716  28
34.8  2.575  36
36.3  2.472  100
37.2  2.415  47

---

3.
Diffraction record for Na7I2O5. The powder diffraction line list is computed, not measured: it uses DFT lattice parameters and positions (GGA-PBE) and λ = 1.5418 Å (Cu Kα).
Neutral-atom scattering factors, no anomalous dispersion.

Structure:
```
28
Lattice="7.689 0.000 0.000 0.000 7.689 0.000 0.000 0.000 10.461" Properties=species:S:1:pos:R:3 pbc="T T T"
Na 0.000 0.000 0.000
Na 0.000 3.845 0.000
Na 0.283 0.283 3.228
Na 0.283 3.562 3.228
Na 1.922 1.922 1.067
Na 3.562 0.283 3.228
Na 3.562 3.562 3.228
Na 3.845 0.000 0.000
Na 3.845 3.845 0.000
Na 4.127 4.127 7.233
Na 4.127 7.406 7.233
Na 5.767 5.767 9.394
Na 7.406 4.127 7.233
Na 7.406 7.406 7.233
I 1.922 1.922 8.299
I 1.922 5.767 5.230
I 5.767 1.922 5.230
I 5.767 5.767 2.161
O 0.215 5.767 8.941
O 1.922 1.922 3.512
O 1.922 4.060 1.519
O 1.922 7.474 1.519
O 3.629 5.767 8.941
O 4.060 1.922 1.519
O 5.767 0.215 8.941
O 5.767 3.629 8.941
O 5.767 5.767 6.949
O 7.474 1.922 1.519
```

Principal peaks in the range 2θ from 15° to 90°, sorted by position:
2theta  d/Å  I_rel
18.4  4.824  85
23.1  3.845  24
23.6  3.769  100
27.3  3.267  50
32.9  2.719  49
34.7  2.583  76
38.0  2.368  34
40.9  2.205  42
47.3  1.922  28
60.0  1.542  24

---

4.
Diffraction record for SmCo2Ge2. The powder diffraction line list is computed, not measured: it uses DFT lattice parameters and positions (GGA-PBE) and λ = 1.5418 Å (Cu Kα).
Neutral-atom scattering factors, no anomalous dispersion.

Structure:
```
10
Lattice="3.999 0.000 0.000 0.000 3.999 0.000 0.000 0.000 10.243" Properties=species:S:1:pos:R:3 pbc="T T T"
Sm 0.000 0.000 0.000
Sm 2.000 2.000 5.122
Co 0.000 2.000 2.561
Co 0.000 2.000 7.682
Co 2.000 0.000 2.561
Co 2.000 0.000 7.682
Ge 0.000 0.000 3.789
Ge 0.000 0.000 6.454
Ge 2.000 2.000 1.333
Ge 2.000 2.000 8.910
```

Principal peaks in the range 2θ from 15° to 90°, sorted by position:
2theta  d/Å  I_rel
31.6  2.828  27
34.5  2.597  100
36.3  2.476  86
45.4  2.000  59
50.0  1.823  28
58.2  1.584  44
63.7  1.461  21
66.1  1.414  18
69.8  1.347  20
77.8  1.228  17

---

5.
Diffraction record for Hg4BiSe2Cl5. The powder diffraction line list is computed, not measured: it uses DFT lattice parameters and positions (GGA-PBE) and λ = 1.5418 Å (Cu Kα).
Neutral-atom scattering factors, no anomalous dispersion.

Structure:
```
48
Lattice="9.729 0.000 0.000 0.000 10.683 0.000 -8.654 0.000 14.605" Properties=species:S:1:pos:R:3 pbc="T T T"
Hg -2.947 0.060 5.159
Hg -7.274 5.282 12.462
Hg 0.074 2.626 0.119
Hg -4.253 2.715 7.421
Hg -0.695 8.002 6.578
Hg -5.022 8.023 13.880
Hg -4.790 2.665 13.920
Hg -0.463 2.676 6.618
Hg 1.537 8.007 7.987
Hg 5.864 8.018 0.685
Hg 6.096 2.660 0.725
Hg 1.769 2.681 8.028
Hg 5.328 7.968 7.184
Hg 1.000 8.057 14.486
Hg 8.348 5.401 2.144
Hg 4.021 10.623 9.446
Bi 2.656 0.002 3.435
Bi -1.672 5.340 10.737
Bi -1.581 10.681 11.170
Bi 2.746 5.343 3.868
Se -7.213 7.833 12.462
Se -2.885 8.192 5.160
Se -2.759 2.597 5.372
Se -7.086 2.745 12.675
Se 8.160 7.938 1.931
Se 3.833 8.087 9.233
Se 3.960 2.491 9.445
Se 8.287 2.850 2.143
Cl -2.553 5.633 8.174
Cl 1.774 10.392 0.871
Cl 1.764 5.735 1.340
Cl -2.563 10.289 8.642
Cl 0.177 0.010 4.429
Cl -4.150 5.332 11.732
Cl 0.105 5.366 4.775
Cl -4.223 10.658 12.078
Cl 2.489 2.600 2.961
Cl -1.838 2.742 10.264
Cl 2.913 7.941 4.341
Cl -1.415 8.083 11.644
Cl 5.297 0.025 2.527
Cl 0.969 5.317 9.830
Cl 5.224 5.351 2.873
Cl 0.897 10.673 10.176
Cl 3.637 0.394 5.963
Cl -0.690 4.948 13.265
Cl -0.700 0.291 13.734
Cl 3.627 5.050 6.432
```

Principal peaks in the range 2θ from 15° to 90°, sorted by position:
2theta  d/Å  I_rel
19.8  4.488  19
20.1  4.414  28
20.6  4.311  100
21.0  4.229  29
21.2  4.185  19
24.8  3.591  19
33.3  2.688  21
33.6  2.671  47
35.7  2.518  27
36.0  2.494  24

---

6.
Diffraction record for CuReO4. The powder diffraction line list is computed, not measured: it uses DFT lattice parameters and positions (GGA-PBE) and λ = 1.5418 Å (Cu Kα).
Neutral-atom scattering factors, no anomalous dispersion.

Structure:
```
36
Lattice="6.633 0.000 0.000 -0.554 7.840 0.000 -2.467 -2.122 9.188" Properties=species:S:1:pos:R:3 pbc="T T T"
Cu -0.825 2.392 2.658
Cu 1.521 7.447 0.387
Cu 1.029 0.363 6.548
Cu 2.582 5.356 2.639
Cu 2.090 -1.729 8.801
Cu 4.436 3.327 6.530
Re -0.750 6.278 3.489
Re -1.034 1.504 8.747
Re 0.300 4.359 5.821
Re 3.311 1.359 3.367
Re 4.645 4.215 0.441
Re 4.361 -0.560 5.699
O -0.814 0.218 3.682
O -1.597 0.695 6.827
O 0.308 2.982 0.866
O -0.489 3.993 4.253
O 0.266 7.020 1.962
O -1.109 3.668 7.638
O -0.197 6.540 5.312
O -0.504 -0.331 8.676
O 0.264 2.226 6.596
O 2.024 4.745 0.838
O 1.395 4.619 4.383
O 0.636 5.537 7.366
O 2.976 0.181 1.821
O 2.217 1.099 4.805
O 1.588 0.974 8.350
O 3.348 3.492 2.592
O 4.116 6.049 0.512
O 3.809 -0.821 3.876
O 4.720 2.050 1.550
O 3.345 -1.302 7.226
O 4.101 1.725 4.935
O 3.304 2.736 8.322
O 5.209 5.023 2.361
O 4.425 5.501 5.506
```

Principal peaks in the range 2θ from 15° to 90°, sorted by position:
2theta  d/Å  I_rel
16.7  5.315  34
24.3  3.659  70
26.8  3.329  64
26.9  3.313  64
27.2  3.275  52
29.2  3.063  50
29.5  3.032  100
32.2  2.781  47
48.0  1.897  36
49.9  1.827  35

---

7.
Diffraction record for LiMo6Se8. The powder diffraction line list is computed, not measured: it uses DFT lattice parameters and positions (GGA-PBE) and λ = 1.5418 Å (Cu Kα).
Neutral-atom scattering factors, no anomalous dispersion.

Structure:
```
15
Lattice="4.859 2.805 3.827 -4.859 2.805 3.827 0.000 -5.611 3.827" Properties=species:S:1:pos:R:3 pbc="T T T"
Li 0.000 0.000 0.000
Mo -0.899 -1.272 4.589
Mo -0.652 1.415 4.589
Mo -1.551 0.143 6.893
Mo 1.551 -0.143 4.589
Mo 0.652 -1.415 6.893
Mo 0.899 1.272 6.893
Se -3.002 0.303 4.787
Se 0.000 0.000 2.567
Se -1.763 -2.448 6.695
Se 1.239 -2.751 4.787
Se -1.239 2.751 6.695
Se 1.763 2.448 4.787
Se 0.000 0.000 8.915
Se 3.002 -0.303 6.695
```

Principal peaks in the range 2θ from 15° to 90°, sorted by position:
2theta  d/Å  I_rel
29.7  3.007  29
31.9  2.805  25
32.2  2.782  52
39.4  2.287  54
40.7  2.215  28
42.4  2.131  21
44.2  2.051  100
47.5  1.914  22
49.8  1.830  41
57.5  1.602  26